Entry 1:
Theoretical powder X-ray diffraction pattern
Compound: Pm3NdEr7
Radiation: Cu Kα
Structure: DFT lattice parameters and positions (GGA-PBE)
Intensities are scaled so that the largest is 100.

Main lines, by angle (2θ from 10° to 80°):
2theta, d (Å), I (rel.)
31.6, 2.833, 53
31.9, 2.808, 100
32.0, 2.794, 31
32.5, 2.757, 52
32.9, 2.719, 53
46.3, 1.962, 22
57.6, 1.601, 19
58.3, 1.584, 19

Structural model:
```
Pm3NdEr7
1.0
6.960 0.000 0.000
0.000 5.513 0.000
-3.451 0.000 9.377
Pm Nd Er
3 1 7
Cartesian
0.000 0.000 0.000 Pm
-0.219 2.757 4.693 Pm
3.728 2.757 4.684 Pm
3.480 0.000 0.000 Nd
-1.730 0.000 6.281 Er
-1.721 2.757 8.067 Er
1.743 2.757 1.984 Er
1.755 0.000 4.689 Er
1.766 2.757 7.393 Er
5.230 2.757 1.311 Er
5.239 0.000 3.097 Er
```

=====

Entry 2:
Theoretical powder X-ray diffraction pattern
Compound: PmNd2Er
Radiation: Cu Kα
Structure: DFT lattice parameters and positions (GGA-PBE)
Intensities are scaled so that the largest is 100.

Main lines, by angle (2θ from 10° to 80°):
2theta, d (Å), I (rel.)
28.8, 3.102, 32
30.3, 2.948, 48
31.1, 2.878, 100
33.5, 2.674, 75
38.2, 2.353, 19
50.2, 1.819, 36
52.7, 1.737, 24
59.7, 1.548, 42

Structural model:
```
PmNd2Er
1.0
1.819 1.050 11.794
-1.819 1.050 11.794
0.000 -2.100 11.794
Pm Nd Er
1 2 1
Cartesian
0.000 0.000 0.000 Pm
0.000 0.000 20.604 Nd
0.000 0.000 26.610 Nd
0.000 0.000 5.923 Er
```

=====

Entry 3:
Theoretical powder X-ray diffraction pattern
Compound: PmNdEr2
Radiation: Cu Kα
Structure: DFT lattice parameters and positions (GGA-PBE)
Intensities are scaled so that the largest is 100.

Main lines, by angle (2θ from 10° to 80°):
2theta, d (Å), I (rel.)
30.5, 2.927, 100
35.3, 2.543, 34
35.6, 2.520, 17
50.8, 1.798, 12
51.0, 1.790, 24
60.4, 1.532, 29
60.9, 1.522, 14
63.6, 1.464, 12

Structural model:
```
PmNdEr2
1.0
3.596 0.000 0.000
0.000 3.596 0.000
0.000 0.000 10.080
Pm Nd Er
1 1 2
Cartesian
0.000 0.000 0.000 Pm
0.000 0.000 5.040 Nd
1.798 1.798 2.509 Er
1.798 1.798 7.571 Er
```

=====

Entry 4:
Theoretical powder X-ray diffraction pattern
Compound: Pm8Nd2Er3
Radiation: Cu Kα
Structure: DFT lattice parameters and positions (GGA-PBE)
Intensities are scaled so that the largest is 100.

Main lines, by angle (2θ from 10° to 80°):
2theta, d (Å), I (rel.)
30.2, 2.958, 100
30.2, 2.956, 33
35.0, 2.561, 67
50.4, 1.811, 48
59.9, 1.544, 52
59.9, 1.543, 5
62.8, 1.479, 12
74.0, 1.281, 5

Structural model:
```
Pm8Nd2Er3
1.0
6.268 0.000 0.000
1.047 6.187 0.000
2.098 -0.345 11.260
Pm Nd Er
8 2 3
Cartesian
1.066 0.374 3.935 Pm
3.129 2.111 8.176 Pm
3.146 4.241 1.336 Pm
5.217 4.944 9.048 Pm
4.196 0.898 2.212 Pm
6.267 1.600 9.924 Pm
6.284 3.731 3.084 Pm
8.347 5.468 7.324 Pm
1.050 1.413 0.445 Nd
8.363 4.429 10.814 Nd
3.153 3.190 4.787 Er
4.183 -0.173 5.630 Er
6.260 2.651 6.473 Er
```

=====

Entry 5:
Theoretical powder X-ray diffraction pattern
Compound: Pm3Nd2Er3
Radiation: Cu Kα
Structure: DFT lattice parameters and positions (GGA-PBE)
Intensities are scaled so that the largest is 100.

Main lines, by angle (2θ from 10° to 80°):
2theta, d (Å), I (rel.)
28.2, 3.166, 24
30.9, 2.894, 25
32.2, 2.777, 100
42.3, 2.136, 16
49.9, 1.826, 13
55.8, 1.647, 21
59.9, 1.544, 15
60.6, 1.528, 11

Structural model:
```
Pm3Nd2Er3
1.0
5.787 0.000 0.000
0.000 14.651 0.000
0.000 0.000 6.319
Pm Nd Er
6 4 6
Cartesian
1.447 1.819 1.042 Pm
1.447 5.506 1.042 Pm
1.447 10.988 4.221 Pm
4.340 3.663 2.098 Pm
4.340 9.145 5.277 Pm
4.340 12.832 5.277 Pm
1.447 9.147 1.077 Nd
1.447 12.830 1.077 Nd
4.340 1.821 5.242 Nd
4.340 5.504 5.242 Nd
1.447 0.007 4.202 Er
1.447 3.663 4.185 Er
1.447 7.319 4.202 Er
4.340 14.644 2.117 Er
4.340 7.332 2.117 Er
4.340 10.988 2.134 Er
```

=====

Entry 6:
Theoretical powder X-ray diffraction pattern
Compound: Pm2Nd8Er3
Radiation: Cu Kα
Structure: DFT lattice parameters and positions (GGA-PBE)
Intensities are scaled so that the largest is 100.

Main lines, by angle (2θ from 10° to 80°):
2theta, d (Å), I (rel.)
29.1, 3.072, 20
29.6, 3.016, 38
30.3, 2.949, 56
30.5, 2.927, 29
30.8, 2.900, 100
32.7, 2.743, 25
37.5, 2.396, 18
54.2, 1.693, 18

Structural model:
```
Pm2Nd8Er3
1.0
6.742 -5.898 0.000
6.742 5.898 0.000
-2.490 0.000 5.627
Pm Nd Er
2 8 3
Cartesian
1.697 0.000 1.903 Pm
9.297 0.000 3.725 Pm
-0.742 0.000 4.280 Nd
3.704 2.812 1.938 Nd
2.655 0.000 5.022 Nd
7.290 2.812 3.689 Nd
3.704 -2.812 1.938 Nd
8.339 0.000 0.605 Nd
7.290 -2.812 3.689 Nd
11.736 0.000 1.347 Nd
6.742 3.136 0.000 Er
5.497 0.000 2.814 Er
6.742 -3.136 0.000 Er
```